# 1
This entry pairs a crystal structure of Ta with its computed X-ray diffraction stick pattern. Radiation: λ = 1.5418 Å (Cu Kα). Structure: a crystal structure in the Materials Project, relaxed with PBE.
No peak broadening, texture or thermal motion is included.

Structural model:
Lattice parameters (Å, degrees): 10.2476 10.2476 5.3468 90.00 90.00 90.00
Positions (direct):
Ta: 0.0000 0.5000 0.2428
Ta: 0.0348 0.1289 0.7429
Ta: 0.0674 0.2387 0.2433
Ta: 0.1048 0.3952 0.7405
Ta: 0.1289 0.9652 0.2571
Ta: 0.1813 0.6813 0.4993
Ta: 0.1810 0.6810 0.9976
Ta: 0.2387 0.9326 0.7567
Ta: 0.2613 0.4326 0.2433
Ta: 0.3190 0.1810 0.0024
Ta: 0.3187 0.1813 0.5007
Ta: 0.3711 0.4652 0.7429
Ta: 0.3952 0.8952 0.2595
Ta: 0.4326 0.7387 0.7567
Ta: 0.4652 0.6289 0.2571
Ta: 0.5000 0.0000 0.7572
Ta: 0.5348 0.3711 0.2571
Ta: 0.5674 0.2613 0.7567
Ta: 0.6048 0.1048 0.2595
Ta: 0.6289 0.5348 0.7429
Ta: 0.6810 0.8190 0.0024
Ta: 0.6813 0.8187 0.5007
Ta: 0.7387 0.5674 0.2433
Ta: 0.7613 0.0674 0.7567
Ta: 0.8187 0.3187 0.4993
Ta: 0.8190 0.3190 0.9976
Ta: 0.8711 0.0348 0.2571
Ta: 0.8952 0.6048 0.7405
Ta: 0.9326 0.7613 0.2433
Ta: 0.9652 0.8711 0.7429

Largest 10 diffraction maxima, in order of falling intensity, 2θ = 15–90°:
d [Å]	I (rel.)	index
2.254	100	4 1 1
2.485	77	4 1 0
2.309	67	2 1 2
2.201	47	3 3 1
2.415	37	3 3 0
1.449	32	5 5 0
2.370	31	2 0 2
1.469	21	5 3 2
2.673	20	0 0 2
1.177	19	4 1 4


# 2
This entry pairs a crystal structure of ErSe2 with its computed X-ray diffraction stick pattern. Radiation: λ = 1.5418 Å (Cu Kα). Structure: a crystal structure in the Materials Project, relaxed with PBE.
No peak broadening, texture or thermal motion is included.

Structural model:
Lattice parameters (Å, degrees): 4.0501 5.6545 13.3252 90.00 90.00 90.00
Positions (direct):
Er: 0.0000 0.0000 0.1500
Er: 0.0000 0.0000 0.8500
Er: 0.5000 0.5000 0.3500
Er: 0.5000 0.5000 0.6500
Se: 0.0000 0.2856 0.5000
Se: 0.0000 0.5000 0.2068
Se: 0.0000 0.5000 0.7932
Se: 0.0000 0.7144 0.5000
Se: 0.5000 0.0000 0.2932
Se: 0.5000 0.0000 0.7068
Se: 0.5000 0.2144 0.0000
Se: 0.5000 0.7856 0.0000

Largest 10 diffraction maxima, in order of falling intensity, 2θ = 15–90°:
d [Å]	I (rel.)	index
2.993	100	1 0 3
2.342	41	1 1 4
2.284	39	1 2 1
5.205	39	0 1 1
2.603	29	0 2 2
2.025	20	2 0 0
1.804	16	0 1 7
2.055	16	1 2 3
2.827	15	0 2 0
1.750	14	1 2 5